1.
UFe10Si2: theoretical XRD peak list (Cu Kα X-rays), based on a crystal structure in Alexandria, relaxed with PBE.
Kinematic intensities with the Lorentz-polarization factor, no thermal factor.

Structure:
Cell lengths 4.7109, 8.1370, 8.4363 Å; angles 90.00, 90.00, 90.00 degrees
Space group Immm (No. 71)
One atom of each set of equivalent atoms:
U 0.0000 0.0000 0.0000
Fe 0.0000 0.0000 0.3605
Fe 0.0000 0.3098 0.5000
Fe 0.0000 0.3494 0.0000
Fe 0.2500 0.2500 0.2500
Si 0.0000 0.5000 0.2610

Peak list (10 most intense, 10 to 90 degrees two-theta, in order of rising 2θ)
h k l, 2theta, d (Å), I (rel.)
0 1 1, 15.13, 5.857, 25.6
0 2 2, 30.51, 2.930, 36.5
1 2 1, 30.91, 2.893, 24.0
1 0 3, 37.24, 2.415, 22.4
1 3 0, 38.27, 2.352, 60.1
0 0 4, 42.88, 2.109, 26.4
1 2 3, 43.59, 2.076, 37.4
2 0 2, 44.07, 2.055, 100.0
0 4 0, 44.48, 2.037, 47.8
2 0 6, 79.40, 1.207, 22.2



2.
Ce6Tl2Sn: theoretical XRD peak list (Cu Kα X-rays), based on a crystal structure in Alexandria, relaxed with PBE.
Kinematic intensities with the Lorentz-polarization factor, no thermal factor.

Structure:
Cell lengths 9.1485, 9.1485, 3.2001 Å; angles 90.00, 90.00, 120.00 degrees
Space group P6/mmm (No. 191)
One atom of each set of equivalent atoms:
Ce 0.0000 0.3268 0.0000
Tl 0.3333 0.6667 0.5000
Sn 0.0000 0.0000 0.5000

Peak list (10 most intense, 10 to 90 degrees two-theta, in order of rising 2θ)
h k l, 2theta, d (Å), I (rel.)
3 0 0, 33.94, 2.641, 100.0
1 1 1, 34.20, 2.622, 94.3
2 2 1, 48.95, 1.861, 34.5
0 0 2, 57.61, 1.600, 7.4
3 3 0, 60.74, 1.525, 18.6
4 1 1, 60.90, 1.521, 35.9
3 0 2, 68.57, 1.368, 26.3
6 0 0, 71.44, 1.320, 11.5
5 2 1, 81.64, 1.179, 15.7
3 3 2, 88.60, 1.104, 13.7



3.
ZrRu5: theoretical XRD peak list (Cu Kα X-rays), based on a crystal structure in Alexandria, relaxed with PBE.
Kinematic intensities with the Lorentz-polarization factor, no thermal factor.

Structure:
Cell lengths 10.0743, 2.8065, 6.5915 Å; angles 90.00, 104.00, 90.00 degrees
Space group Cm (No. 8)
One atom of each set of equivalent atoms:
Zr 0.0000 0.0000 0.0000
Ru 0.1227 0.5000 0.7052
Ru 0.1793 0.5000 0.3384
Ru 0.2719 0.0000 0.0498
Ru 0.3334 0.0000 0.6542
Ru 0.4501 0.5000 0.3971

Peak list (10 most intense, 10 to 90 degrees two-theta, in order of rising 2θ)
h k l, 2theta, d (Å), I (rel.)
1 1 1, 37.02, 2.428, 34.3
2 0 2, 37.14, 2.421, 15.2
4 0 -2, 40.68, 2.218, 49.2
0 0 3, 42.38, 2.133, 100.0
3 1 0, 42.51, 2.126, 65.9
4 0 1, 42.68, 2.118, 33.0
3 1 -3, 56.04, 1.641, 14.1
3 1 3, 66.87, 1.399, 21.6
4 0 -5, 75.07, 1.265, 16.5
4 2 -2, 81.06, 1.186, 24.7



4.
Eu2Pu: theoretical XRD peak list (Cu Kα X-rays), based on a crystal structure in Alexandria, relaxed with PBE.
Kinematic intensities with the Lorentz-polarization factor, no thermal factor.

Structure:
Cell lengths 3.6535, 3.6535, 16.3406 Å; angles 90.00, 90.00, 90.00 degrees
Space group I4/mmm (No. 139)
One atom of each set of equivalent atoms:
Eu 0.0000 0.0000 0.1578
Pu 0.0000 0.0000 0.5000

Peak list (10 most intense, 10 to 90 degrees two-theta, in order of rising 2θ)
h k l, 2theta, d (Å), I (rel.)
0 0 2, 10.83, 8.170, 10.2
1 0 3, 29.44, 3.034, 100.0
0 0 6, 32.89, 2.723, 17.9
1 1 0, 34.72, 2.583, 33.1
1 1 6, 48.57, 1.874, 24.3
2 0 0, 49.92, 1.827, 12.0
1 0 9, 56.61, 1.626, 14.8
2 1 3, 59.02, 1.565, 28.6
2 0 6, 61.08, 1.517, 12.3
2 1 9, 78.80, 1.215, 11.2



5.
LaTlS2N: theoretical XRD peak list (Cu Kα X-rays), based on a crystal structure in Alexandria, relaxed with PBE.
Kinematic intensities with the Lorentz-polarization factor, no thermal factor.

Structure:
Cell lengths 5.1769, 5.1769, 4.2490 Å; angles 90.00, 90.00, 90.00 degrees
Space group P4/mmm (No. 123)
One atom of each set of equivalent atoms:
La 0.0000 0.0000 0.0000
Tl 0.5000 0.5000 0.5000
S 0.0000 0.5000 0.5000
N 0.5000 0.5000 0.0000

Peak list (10 most intense, 10 to 90 degrees two-theta, in order of rising 2θ)
h k l, 2theta, d (Å), I (rel.)
1 1 0, 24.32, 3.661, 50.2
1 0 1, 27.15, 3.284, 100.0
2 0 0, 34.66, 2.588, 44.5
0 0 2, 42.55, 2.125, 12.4
2 1 1, 44.57, 2.033, 53.9
1 1 2, 49.61, 1.837, 15.4
2 2 0, 49.82, 1.830, 15.6
2 0 2, 56.00, 1.642, 21.8
3 0 1, 57.66, 1.599, 12.8
3 2 1, 69.05, 1.360, 15.0



6.
RbGe4Pt4: theoretical XRD peak list (Cu Kα X-rays), based on a crystal structure in Alexandria, relaxed with PBE.
Kinematic intensities with the Lorentz-polarization factor, no thermal factor.

Structure:
Cell lengths 8.8317, 8.8317, 4.7822 Å; angles 90.00, 90.00, 90.00 degrees
Space group I4 (No. 79)
One atom of each set of equivalent atoms:
Rb 0.0000 0.0000 0.0000
Ge 0.1140 0.6238 0.5057
Pt 0.1666 0.3179 0.5057

Peak list (10 most intense, 10 to 90 degrees two-theta, in order of rising 2θ)
h k l, 2theta, d (Å), I (rel.)
1 1 0, 14.18, 6.245, 54.1
2 0 0, 20.11, 4.416, 48.4
2 1 1, 29.33, 3.045, 100.0
1 3 0, 32.05, 2.793, 92.0
0 0 2, 37.62, 2.391, 61.0
3 2 1, 41.42, 2.180, 30.3
3 3 0, 43.47, 2.082, 35.6
1 4 1, 46.45, 1.955, 89.6
1 3 2, 50.23, 1.816, 52.3
1 4 3, 74.13, 1.279, 33.0



Repeat the first record exactly.
UFe10Si2: theoretical XRD peak list (Cu Kα X-rays), based on a crystal structure in Alexandria, relaxed with PBE.
Kinematic intensities with the Lorentz-polarization factor, no thermal factor.

Structure:
Cell lengths 4.7109, 8.1370, 8.4363 Å; angles 90.00, 90.00, 90.00 degrees
Space group Immm (No. 71)
One atom of each set of equivalent atoms:
U 0.0000 0.0000 0.0000
Fe 0.0000 0.0000 0.3605
Fe 0.0000 0.3098 0.5000
Fe 0.0000 0.3494 0.0000
Fe 0.2500 0.2500 0.2500
Si 0.0000 0.5000 0.2610

Peak list (10 most intense, 10 to 90 degrees two-theta, in order of rising 2θ)
h k l, 2theta, d (Å), I (rel.)
0 1 1, 15.13, 5.857, 25.6
0 2 2, 30.51, 2.930, 36.5
1 2 1, 30.91, 2.893, 24.0
1 0 3, 37.24, 2.415, 22.4
1 3 0, 38.27, 2.352, 60.1
0 0 4, 42.88, 2.109, 26.4
1 2 3, 43.59, 2.076, 37.4
2 0 2, 44.07, 2.055, 100.0
0 4 0, 44.48, 2.037, 47.8
2 0 6, 79.40, 1.207, 22.2